Entry 1:
VZnH: calculated X-ray diffraction stick pattern (CuKα), based on a crystal structure in Alexandria, relaxed with PBE.

Atomic structure:
Cell: 4.8674 4.8674 4.8999 Å, 97.73 97.73 32.00°
Atoms (fractional coordinates):
V: 0.1131 0.1131 0.3913
V: 0.8869 0.8869 0.6087
Zn: 0.3837 0.3837 0.1145
Zn: 0.6163 0.6163 0.8855
H: 0.2689 0.2689 0.6648
H: 0.7311 0.7311 0.3352

Peak list (6 most intense, 2θ from 10° to 90°, low angle first)
2θ (°)	I_rel
38.88	54
39.44	49
40.26	100
44.52	38
47.00	60
67.13	25



Entry 2:
Cu2PdPbO4: calculated X-ray diffraction stick pattern (CuKα), based on a crystal structure in Alexandria, relaxed with PBE.

Atomic structure:
Cell: 5.3191 5.3191 5.3191 Å, 119.78 119.78 90.38°
Atoms (fractional coordinates):
Cu: 0.2500 0.7500 0.5000
Cu: 0.7500 0.2500 0.5000
Pd: 0.0000 0.0000 0.0000
Pb: 0.5000 0.5000 0.0000
O: 0.0122 0.0122 0.6092
O: 0.4030 0.4030 0.3908
O: 0.5970 0.9878 0.0000
O: 0.9878 0.5970 0.0000

Peak list (6 most intense, 2θ from 10° to 90°, low angle first)
2θ (°)	I_rel
23.58	20
33.59	40
33.70	100
48.23	22
60.13	40
60.35	17



Entry 3:
In10Hg6Bi: calculated X-ray diffraction stick pattern (CuKα), based on a crystal structure in Alexandria, relaxed with PBE.

Atomic structure:
Cell: 8.5986 8.5986 7.3875 Å, 90.00 90.00 120.00°
Atoms (fractional coordinates):
In: 0.0000 0.2476 0.1725
In: 0.0000 0.7524 0.8275
In: 0.2476 0.0000 0.1725
In: 0.2476 0.2476 0.8275
In: 0.3333 0.6667 0.0000
In: 0.3333 0.6667 0.5000
In: 0.6667 0.3333 0.0000
In: 0.6667 0.3333 0.5000
In: 0.7524 0.0000 0.8275
In: 0.7524 0.7524 0.1725
Hg: 0.0000 0.4037 0.7236
Hg: 0.0000 0.5963 0.2764
Hg: 0.4037 0.0000 0.7236
Hg: 0.4037 0.4037 0.2764
Hg: 0.5963 0.0000 0.2764
Hg: 0.5963 0.5963 0.7236
Bi: 0.0000 0.0000 0.5000

Peak list (6 most intense, 2θ from 10° to 90°, low angle first)
2θ (°)	I_rel
23.93	29
31.94	100
34.09	80
36.19	38
45.61	27
58.31	19



Entry 4:
CsLiPr2Br8: calculated X-ray diffraction stick pattern (CuKα), based on a crystal structure in Alexandria, relaxed with PBE.

Atomic structure:
Cell: 7.3180 9.1788 7.3955 Å, 90.00 99.24 90.00°
Atoms (fractional coordinates):
Cs: 0.0000 0.0000 0.0000
Li: 0.0000 0.5000 0.0000
Pr: 0.5000 0.2616 0.5000
Pr: 0.5000 0.7384 0.5000
Br: 0.2518 0.2992 0.1590
Br: 0.2518 0.7008 0.1590
Br: 0.2842 0.5000 0.6349
Br: 0.2939 0.0000 0.6159
Br: 0.7061 0.0000 0.3841
Br: 0.7158 0.5000 0.3651
Br: 0.7482 0.2992 0.8410
Br: 0.7482 0.7008 0.8410

Peak list (6 most intense, 2θ from 10° to 90°, low angle first)
2θ (°)	I_rel
15.81	100
18.62	45
25.08	71
29.15	65
32.37	97
42.05	63



Entry 5:
Pu2MgGaRu2: calculated X-ray diffraction stick pattern (CuKα), based on a crystal structure in Alexandria, relaxed with PBE.

Atomic structure:
Cell: 8.3624 8.3624 8.3624 Å, 141.82 56.62 139.83°
Atoms (fractional coordinates):
Pu: 0.1738 0.2419 0.4157
Pu: 0.3262 0.7419 0.0681
Pu: 0.6738 0.2581 0.9319
Pu: 0.8262 0.7581 0.5843
Mg: 0.2500 0.2500 0.0000
Mg: 0.7500 0.7500 0.0000
Ga: 0.2500 0.7500 0.5000
Ga: 0.7500 0.2500 0.5000
Ru: 0.1313 0.7363 0.8676
Ru: 0.3687 0.2363 0.6051
Ru: 0.6313 0.7637 0.3949
Ru: 0.8687 0.2637 0.1324

Peak list (6 most intense, 2θ from 10° to 90°, low angle first)
2θ (°)	I_rel
12.02	53
31.14	59
32.74	51
33.22	100
33.49	44
45.81	74



Entry 6:
Mg2Cd2Ga3: calculated X-ray diffraction stick pattern (CuKα), based on a crystal structure in Alexandria, relaxed with PBE.

Atomic structure:
Cell: 7.3406 7.3406 7.3406 Å, 109.47 109.47 109.47°
Atoms (fractional coordinates):
Mg: 0.0000 0.0265 0.5000
Mg: 0.0265 0.5000 0.0000
Mg: 0.4735 0.4735 0.4735
Mg: 0.5000 0.0000 0.0265
Cd: 0.0000 0.6498 0.5000
Cd: 0.5000 0.0000 0.6498
Cd: 0.6498 0.5000 0.0000
Cd: 0.8502 0.8502 0.8502
Ga: 0.2437 0.9937 0.2500
Ga: 0.2500 0.2437 0.9937
Ga: 0.2563 0.5063 0.7500
Ga: 0.5063 0.7500 0.2563
Ga: 0.7500 0.2563 0.5063
Ga: 0.9937 0.2500 0.2437

Peak list (6 most intense, 2θ from 10° to 90°, low angle first)
2θ (°)	I_rel
20.96	47
33.43	100
36.73	39
39.79	97
55.26	34
74.21	25



Entry 7:
La3InI3: calculated X-ray diffraction stick pattern (CuKα), based on a crystal structure in Alexandria, relaxed with PBE.

Atomic structure:
Cell: 6.4918 6.4918 6.4918 Å, 90.00 90.00 90.00°
Atoms (fractional coordinates):
La: 0.0000 0.0000 0.5000
La: 0.0000 0.5000 0.0000
La: 0.5000 0.0000 0.0000
In: 0.0000 0.0000 0.0000
I: 0.0000 0.5000 0.5000
I: 0.5000 0.0000 0.5000
I: 0.5000 0.5000 0.0000

Peak list (6 most intense, 2θ from 10° to 90°, low angle first)
2θ (°)	I_rel
27.48	100
39.25	77
48.58	27
56.72	13
64.16	35
71.15	26



Entry 8:
Dy6In2O: calculated X-ray diffraction stick pattern (CuKα), based on a crystal structure in Alexandria, relaxed with PBE.

Atomic structure:
Cell: 6.8507 6.8507 6.8507 Å, 60.00 60.00 60.00°
Atoms (fractional coordinates):
Dy: 0.2472 0.2472 0.7528
Dy: 0.2472 0.7528 0.2472
Dy: 0.2472 0.7528 0.7528
Dy: 0.7528 0.2472 0.2472
Dy: 0.7528 0.2472 0.7528
Dy: 0.7528 0.7528 0.2472
In: 0.2500 0.2500 0.2500
In: 0.7500 0.7500 0.7500
O: 0.0000 0.0000 0.0000

Peak list (6 most intense, 2θ from 10° to 90°, low angle first)
2θ (°)	I_rel
32.00	100
37.12	53
53.50	37
63.72	41
66.91	12
87.85	18